Starting from a cell relaxed with GGA-PBE, the PXRD pattern of BaNaCoP was simulated for Cu Kα X-rays.
No peak broadening, texture or thermal motion is included.

Cell and atoms:
Lattice parameters (Å, degrees): 4.0059 4.0059 13.0671 90.00 90.00 90.00
Space group P4/nmm (No. 129, origin choice 2)
Asymmetric unit:
Ba1 0.2500 0.2500 0.2084 [2 per cell]
Na1 0.2500 0.7500 0.5000 [2 per cell]
Co1 0.2500 0.7500 0.0000 [2 per cell]
P1 0.2500 0.2500 0.9178 [2 per cell]

Peak list (10 most intense, 10° ≤ 2θ ≤ 90°, low angle first)
(hkl), d_spacing, Rel. int.
1 0 1, 3.830, 99.3
0 0 4, 3.267, 26.0
1 0 3, 2.949, 63.9
1 1 2, 2.599, 100.0
1 0 4, 2.532, 53.5
1 1 3, 2.375, 37.9
2 0 0, 2.003, 41.0
2 1 1, 1.775, 23.3
2 1 4, 1.571, 24.0
2 2 0, 1.416, 24.3